Record 1
Calculated powder diffractogram
Compound: CeAs3Au
Radiation: copper Kα
Structure: DFT lattice parameters and positions (PBE)
Intensities are scaled so that the largest is 100.

Peak list (12 most intense, 2θ = 15–90°, in order of rising 2θ)
20.75°, I 49.1, hkl 0 2 1; 31.96°, I 46.9, hkl 0 1 2; 34.02°, I 57.2, hkl 2 2 0; 34.22°, I 90.7, hkl 0 2 2; 34.89°, I 100.0, hkl 0 5 0; 37.27°, I 48.8, hkl 2 2 -1; 37.54°, I 73.8, hkl 2 3 0; 37.73°, I 77.9, hkl 0 3 2; 37.83°, I 45.8, hkl 2 2 1; 40.55°, I 35.1, hkl 2 3 -1; 44.01°, I 43.4, hkl 2 0 -2; 44.98°, I 37.6, hkl 2 0 2

Structural model:
```
data_CeAs3Au
_cell_length_a 5.780
_cell_length_b 12.857
_cell_length_c 5.740
_cell_angle_alpha 90.00
_cell_angle_beta 91.19
_cell_angle_gamma 90.00
_space_group_name_H-M_alt 'P 1 2/c 1'
_space_group_IT_number 13
_space_group_name_Hall '-P 2yc'
loop_
_atom_site_label
_atom_site_fract_x
_atom_site_fract_y
_atom_site_fract_z
Ce1 0.247 0.180 0.000
As1 0.000 0.000 0.250
As2 0.217 0.413 0.775
As3 0.259 0.236 0.504
As4 0.500 0.000 0.250
Au1 0.000 0.384 0.250
Au2 0.500 0.397 0.250
```

=====

Record 2
Calculated powder diffractogram
Compound: CeAs3Au3
Radiation: copper Kα
Structure: DFT lattice parameters and positions (PBE)
Intensities are scaled so that the largest is 100.

Peak list (12 most intense, 2θ = 15–90°, in order of rising 2θ)
17.61°, I 20.0, hkl 1 1 0; 25.01°, I 42.1, hkl 2 0 0; 28.02°, I 41.9, hkl 2 1 0; 30.75°, I 100.0, hkl 2 1 1; 44.05°, I 34.6, hkl 2 2 2; 47.79°, I 59.3, hkl 3 2 1; 51.32°, I 32.7, hkl 4 0 0; 57.91°, I 16.7, hkl 4 2 0; 61.03°, I 14.3, hkl 3 3 2; 72.73°, I 17.1, hkl 5 2 1; 75.52°, I 21.1, hkl 4 4 0; 83.72°, I 18.0, hkl 6 1 1

Structural model:
```
data_CeAs3Au3
_cell_length_a 7.122
_cell_length_b 7.122
_cell_length_c 7.122
_cell_angle_alpha 90.00
_cell_angle_beta 90.00
_cell_angle_gamma 90.00
_space_group_name_H-M_alt 'P m -3 n'
_space_group_IT_number 223
_space_group_name_Hall '-P 4n 2 3'
loop_
_atom_site_label
_atom_site_fract_x
_atom_site_fract_y
_atom_site_fract_z
Ce1 0.000 0.000 0.000
As1 0.000 0.250 0.500
Au1 0.000 0.500 0.250
```

=====

Record 3
Calculated powder diffractogram
Compound: CsRbAsAuCl
Radiation: copper Kα
Structure: DFT lattice parameters and positions (PBE)
Intensities are scaled so that the largest is 100.

Peak list (12 most intense, 2θ = 15–90°, in order of rising 2θ)
19.99°, I 37.1, hkl 0 1 1; 24.61°, I 68.8, hkl 1 0 2; 27.66°, I 32.2, hkl 0 0 6; 29.42°, I 100.0, hkl 1 0 4; 30.28°, I 89.9, hkl 0 1 5; 30.51°, I 64.3, hkl 1 1 1; 33.26°, I 31.7, hkl 1 1 3; 39.50°, I 30.9, hkl 0 2 0; 47.10°, I 25.0, hkl 1 2 2; 50.01°, I 44.9, hkl 1 2 4; 52.58°, I 45.6, hkl 1 1 9; 56.57°, I 30.0, hkl 2 1 5

Structural model:
```
data_CsRbAsAuCl
_cell_length_a 3.900
_cell_length_b 4.563
_cell_length_c 19.349
_cell_angle_alpha 90.00
_cell_angle_beta 90.00
_cell_angle_gamma 90.00
_space_group_name_H-M_alt 'A m m 2'
_space_group_IT_number 38
_space_group_name_Hall 'A 2 -2'
loop_
_atom_site_label
_atom_site_fract_x
_atom_site_fract_y
_atom_site_fract_z
Cs1 0.000 0.000 0.000
Rb1 0.000 0.000 0.205
As1 0.500 0.000 0.370
Au1 0.500 0.000 0.827
Cl1 0.500 0.000 0.610
```

=====

Record 4
Calculated powder diffractogram
Compound: CsRbAsAuCl
Radiation: copper Kα
Structure: DFT lattice parameters and positions (PBE)
Intensities are scaled so that the largest is 100.

Peak list (12 most intense, 2θ = 15–90°, in order of rising 2θ)
23.11°, I 14.9, hkl 1 0 1; 25.87°, I 57.3, hkl 1 0 4; 26.85°, I 29.6, hkl 0 0 9; 27.40°, I 100.0, hkl 0 1 5; 31.14°, I 33.9, hkl 1 0 7; 36.07°, I 19.1, hkl 0 0 12; 40.24°, I 59.3, hkl 1 1 0; 41.29°, I 15.6, hkl 1 1 3; 49.04°, I 34.9, hkl 1 1 9; 49.37°, I 19.3, hkl 2 0 5; 55.13°, I 33.2, hkl 1 1 12; 65.53°, I 20.0, hkl 0 0 21

Structural model:
```
data_CsRbAsAuCl
_cell_length_a 4.4823
_cell_length_b 4.4823
_cell_length_c 29.8841
_cell_angle_alpha 90.00
_cell_angle_beta 90.00
_cell_angle_gamma 120.00
_space_group_name_H-M_alt 'R 3 m'
_space_group_IT_number 160
_space_group_name_Hall 'R 3 -2"'
loop_
_atom_site_label
_atom_site_fract_x
_atom_site_fract_y
_atom_site_fract_z
Cs1 0.0000 0.0000 0.0000
Rb1 0.0000 0.0000 0.8106
As1 0.0000 0.0000 0.5691
Au1 0.0000 0.0000 0.2354
Cl1 0.0000 0.0000 0.4091
```

=====

Record 5
Calculated powder diffractogram
Compound: CsRbAsAuCl
Radiation: copper Kα
Structure: DFT lattice parameters and positions (PBE)
Intensities are scaled so that the largest is 100.

Peak list (12 most intense, 2θ = 15–90°, in order of rising 2θ)
17.06°, I 30.5, hkl 1 0 0; 20.25°, I 13.0, hkl 0 0 2; 22.32°, I 30.5, hkl 1 0 1; 23.20°, I 25.3, hkl 0 1 1; 27.06°, I 100.0, hkl 1 1 -1; 29.22°, I 16.0, hkl 0 1 2; 32.93°, I 26.3, hkl 2 0 -1; 39.60°, I 23.7, hkl 1 0 3; 42.42°, I 12.9, hkl 0 2 0; 46.58°, I 15.6, hkl 0 1 4; 55.30°, I 13.5, hkl 3 1 -2; 59.42°, I 14.2, hkl 1 2 3

Structural model:
```
data_CsRbAsAuCl
_cell_length_a 5.440
_cell_length_b 4.262
_cell_length_c 9.177
_cell_angle_alpha 90.00
_cell_angle_beta 107.12
_cell_angle_gamma 90.00
_space_group_name_H-M_alt 'P 1 m 1'
_space_group_IT_number 6
_space_group_name_Hall 'P -2y'
loop_
_atom_site_label
_atom_site_fract_x
_atom_site_fract_y
_atom_site_fract_z
Cs1 0.000 0.000 0.000
Rb1 0.277 0.000 0.545
As1 0.828 0.500 0.648
Au1 0.691 0.500 0.376
Cl1 0.548 0.500 0.096
```

=====

Record 6
Calculated powder diffractogram
Compound: AsAuClO
Radiation: copper Kα
Structure: DFT lattice parameters and positions (PBE)
Intensities are scaled so that the largest is 100.

Peak list (12 most intense, 2θ = 15–90°, in order of rising 2θ)
21.02°, I 100.0, hkl 1 0 0; 26.31°, I 35.6, hkl 1 0 1; 31.91°, I 35.7, hkl 0 1 0; 33.96°, I 20.7, hkl 0 1 1; 34.44°, I 29.8, hkl 0 0 3; 35.82°, I 28.9, hkl 1 0 -3; 38.53°, I 46.8, hkl 1 1 0; 41.82°, I 15.7, hkl 1 1 1; 47.65°, I 19.9, hkl 0 1 3; 48.72°, I 23.1, hkl 1 1 -3; 54.37°, I 14.5, hkl 2 1 0; 59.15°, I 14.8, hkl 2 1 -3

Structural model:
```
data_AsAuClO
_cell_length_a 4.357
_cell_length_b 2.805
_cell_length_c 8.056
_cell_angle_alpha 90.00
_cell_angle_beta 104.12
_cell_angle_gamma 90.00
_space_group_name_H-M_alt 'P 1 m 1'
_space_group_IT_number 6
_space_group_name_Hall 'P -2y'
loop_
_atom_site_label
_atom_site_fract_x
_atom_site_fract_y
_atom_site_fract_z
As1 0.000 0.000 0.000
Au1 0.039 0.000 0.699
Cl1 0.151 0.000 0.414
O1 0.720 0.500 0.997
```